1.
This entry pairs a crystal structure of Ce2HoGe2 with its theoretical X-ray powder pattern. Radiation: CuKα. Structure: a structure optimized by DFT (PBE).
Lines closer than 0.1° are merged.

Cell lengths 7.9283, 7.9283, 4.0482 Å; angles 90.00, 90.00, 90.00 degrees
Space group P4/mbm (No. 127)
Inequivalent atoms, fractional coordinates:
Ce 0.1282 0.3718 0.0000 [4 per cell]
Ho 0.0000 0.0000 0.5000 [2 per cell]
Ge 0.1673 0.6673 0.5000 [4 per cell]

Peak list (10 most intense, 2θ from 5° to 70°, in order of falling intensity)
two_theta  I_rel  h k l
33.60  100  2 1 1
35.82  62  3 1 0
27.17  59  1 1 1
58.62  30  3 1 2
51.32  21  4 0 1
44.78  20  0 0 2
67.72  14  5 2 1
39.09  14  2 2 1
47.03  13  3 2 1
31.93  12  2 2 0



2.
This entry pairs a crystal structure of CeHoZnGe with its theoretical X-ray powder pattern. Radiation: CuKα. Structure: a structure optimized by DFT (PBE).
Lines closer than 0.1° are merged.

Cell lengths 7.1599, 7.1599, 7.1599 Å; angles 90.00, 90.00, 90.00 degrees
Space group F-43m (No. 216)
Inequivalent atoms, fractional coordinates:
Ce 0.0000 0.0000 0.0000 [4 per cell]
Ho 0.0000 0.0000 0.5000 [4 per cell]
Zn 0.2500 0.2500 0.2500 [4 per cell]
Ge 0.2500 0.2500 0.7500 [4 per cell]

Peak list (7 most intense, 2θ from 5° to 70°, in order of falling intensity)
two_theta  I_rel  h k l
35.46  100  2 2 0
63.67  36  4 2 2
51.02  18  4 0 0
24.87  15  2 0 0
57.57  6  4 2 0
43.80  4  2 2 2
21.50  1  1 1 1



3.
This entry pairs a crystal structure of Ce3GeI7 with its theoretical X-ray powder pattern. Radiation: CuKα. Structure: a structure optimized by DFT (PBE).
Lines closer than 0.1° are merged.

Cell lengths 9.0422, 9.0422, 7.2931 Å; angles 90.00, 90.00, 120.00 degrees
Space group P3m1 (No. 156)
Inequivalent atoms, fractional coordinates:
Ce 0.0171 0.5086 0.0000 [3 per cell]
Ge 0.3333 0.6667 0.1749 [1 per cell]
I 0.1704 0.3407 0.7464 [3 per cell]
I 0.3411 0.1705 0.2324 [3 per cell]
I 0.6667 0.3333 0.7478 [1 per cell]

Peak list (10 most intense, 2θ from 5° to 70°, in order of falling intensity)
two_theta  I_rel  h k l
25.83  100  2 0 1
33.58  48  2 0 2
39.88  35  2 2 0
12.14  28  0 0 1
43.83  25  0 2 3
48.12  18  0 4 1
64.22  14  4 2 1
65.81  13  2 2 4
53.10  12  0 4 2
68.42  11  4 2 2



4.
This entry pairs a crystal structure of CeGe2I8 with its theoretical X-ray powder pattern. Radiation: CuKα. Structure: a structure optimized by DFT (PBE).
Lines closer than 0.1° are merged.

Cell lengths 15.4151, 8.6685, 8.1786 Å; angles 90.00, 90.58, 90.00 degrees
Space group C2/m (No. 12)
Inequivalent atoms, fractional coordinates:
Ce 0.0000 0.0000 0.0000 [2 per cell]
Ge 0.1357 0.0000 0.5408 [4 per cell]
I 0.0630 0.2384 0.7508 [8 per cell]
I 0.1768 0.0000 0.1596 [4 per cell]
I 0.2027 0.5000 0.3599 [4 per cell]

Peak list (10 most intense, 2θ from 5° to 70°, in order of falling intensity)
two_theta  I_rel  h k l
25.93  100  2 2 -1
11.71  95  1 1 0
25.65  90  4 0 1
24.71  81  1 1 -2
23.55  69  2 2 0
38.60  61  1 3 -2
41.68  45  0 4 0
40.85  44  6 2 0
32.18  43  2 2 -2
30.04  40  0 2 2



5.
This entry pairs a crystal structure of Ce8GeOs3I4 with its theoretical X-ray powder pattern. Radiation: CuKα. Structure: a structure optimized by DFT (PBE).
Lines closer than 0.1° are merged.

Cell lengths 8.4119, 8.4119, 23.4990 Å; angles 90.00, 90.00, 120.00 degrees
Space group R-3m (No. 166, hexagonal axes)
Inequivalent atoms, fractional coordinates:
Ce 0.0000 0.0000 0.2300 [6 per cell]
Ce 0.0173 0.5087 0.7714 [18 per cell]
Ge 0.0000 0.0000 0.5000 [3 per cell]
Os 0.0000 0.5000 0.5000 [9 per cell]
I 0.0000 0.0000 0.0000 [3 per cell]
I 0.0000 0.5000 0.0000 [9 per cell]

Peak list (10 most intense, 2θ from 5° to 70°, in order of falling intensity)
two_theta  I_rel  h k l
28.84  100  0 2 4
43.01  38  2 2 0
39.41  28  2 0 8
11.30  20  0 0 3
52.61  18  4 0 4
36.40  13  0 2 7
59.74  8  0 4 8
49.46  8  2 0 11
60.76  6  2 0 14
65.09  6  2 2 12



6.
This entry pairs a crystal structure of Ce3In2Ge3 with its theoretical X-ray powder pattern. Radiation: CuKα. Structure: a structure optimized by DFT (PBE).
Lines closer than 0.1° are merged.

Cell lengths 8.9137, 8.9137, 6.1912 Å; angles 90.00, 90.00, 120.00 degrees
Space group P6_3/mcm (No. 193)
Inequivalent atoms, fractional coordinates:
Ce 0.0000 0.3258 0.2500 [6 per cell]
In 0.3333 0.6667 0.0000 [4 per cell]
Ge 0.0000 0.3437 0.7500 [6 per cell]

Peak list (10 most intense, 2θ from 5° to 70°, in order of falling intensity)
two_theta  I_rel  h k l
34.87  100  3 0 0
35.30  78  1 1 2
62.80  28  4 1 2
50.46  28  2 2 2
11.46  24  1 0 0
45.86  20  3 0 2
62.52  18  3 3 0
24.61  18  1 1 1
28.84  12  0 0 2
59.75  7  0 0 4



7.
This entry pairs a crystal structure of Ce3In4Ge with its theoretical X-ray powder pattern. Radiation: CuKα. Structure: a structure optimized by DFT (PBE).
Lines closer than 0.1° are merged.

Cell lengths 8.4891, 8.4891, 11.8308 Å; angles 90.00, 90.00, 90.00 degrees
Space group I4/mcm (No. 140)
Inequivalent atoms, fractional coordinates:
Ce 0.0000 0.0000 0.2500 [4 per cell]
Ce 0.1630 0.3370 0.0000 [8 per cell]
In 0.1440 0.3560 0.3197 [16 per cell]
Ge 0.0000 0.0000 0.0000 [4 per cell]

Peak list (10 most intense, 2θ from 5° to 70°, in order of falling intensity)
two_theta  I_rel  h k l
32.74  100  2 1 3
33.38  59  3 1 0
63.56  20  5 2 3
45.64  12  3 1 4
49.97  12  4 1 3
29.77  9  2 2 0
66.58  9  3 3 6
47.93  9  4 2 0
30.22  8  0 0 4
64.51  8  4 0 6



8.
This entry pairs a crystal structure of Ce4InGe with its theoretical X-ray powder pattern. Radiation: CuKα. Structure: a structure optimized by DFT (PBE).
Lines closer than 0.1° are merged.

Cell lengths 8.9988, 12.7644, 5.6716 Å; angles 90.00, 110.54, 90.00 degrees
Space group C2/c (No. 15)
Inequivalent atoms, fractional coordinates:
Ce 0.1232 0.1931 0.1629 [8 per cell]
Ce 0.2150 0.3952 0.3682 [8 per cell]
In 0.0000 0.3843 0.7500 [4 per cell]
Ge 0.0000 0.0203 0.7500 [4 per cell]

Peak list (10 most intense, 2θ from 5° to 70°, in order of falling intensity)
two_theta  I_rel  h k l
31.15  100  3 1 -1
34.47  61  2 2 1
31.04  57  1 3 1
36.79  44  1 5 0
32.74  42  0 4 1
38.16  24  1 3 -2
32.36  24  1 1 -2
35.92  23  2 2 -2
17.74  21  1 1 -1
47.95  19  1 5 -2



9.
This entry pairs a crystal structure of Ce5InGe2Pb with its theoretical X-ray powder pattern. Radiation: CuKα. Structure: a structure optimized by DFT (PBE).
Lines closer than 0.1° are merged.

Cell lengths 7.8166, 7.8166, 16.3469 Å; angles 90.00, 90.00, 90.00 degrees
Space group I4/mcm (No. 140)
Inequivalent atoms, fractional coordinates:
Ce 0.0000 0.0000 0.0000 [4 per cell]
Ce 0.1997 0.3003 0.1252 [16 per cell]
In 0.0000 0.5000 0.2500 [4 per cell]
Ge 0.1128 0.3872 0.5000 [8 per cell]
Pb 0.0000 0.0000 0.2500 [4 per cell]

Peak list (10 most intense, 2θ from 5° to 70°, in order of falling intensity)
two_theta  I_rel  h k l
31.68  100  2 0 4
32.40  37  2 2 0
30.38  26  2 1 3
55.97  16  2 2 8
44.33  16  0 0 8
36.35  15  3 1 0
37.67  14  2 1 5
57.33  14  4 2 4
48.33  10  4 1 1
54.64  8  3 3 4



10.
This entry pairs a crystal structure of Ce2InGe2Rh5 with its theoretical X-ray powder pattern. Radiation: CuKα. Structure: a structure optimized by DFT (PBE).
Lines closer than 0.1° are merged.

Cell lengths 9.9485, 9.9485, 3.6632 Å; angles 90.00, 90.00, 90.00 degrees
Space group P4/mbm (No. 127)
Inequivalent atoms, fractional coordinates:
Ce 0.1763 0.3237 0.0000 [4 per cell]
In 0.0000 0.0000 0.0000 [2 per cell]
Ge 0.1220 0.6220 0.0000 [4 per cell]
Rh 0.0000 0.5000 0.5000 [2 per cell]
Rh 0.0688 0.7856 0.5000 [8 per cell]

Peak list (10 most intense, 2θ from 5° to 70°, in order of falling intensity)
two_theta  I_rel  h k l
37.69  100  3 1 1
37.27  51  4 1 0
40.95  39  3 2 1
35.38  28  2 2 1
31.64  27  2 1 1
49.78  23  0 0 2
40.55  21  4 2 0
63.80  21  4 1 2
38.39  14  3 3 0
65.23  12  5 4 1



11.
This entry pairs a crystal structure of Ce2InGe4Rh3 with its theoretical X-ray powder pattern. Radiation: CuKα. Structure: a structure optimized by DFT (PBE).
Lines closer than 0.1° are merged.

Cell lengths 4.2645, 4.2645, 10.5935 Å; angles 90.00, 90.00, 90.00 degrees
Space group P-4m2 (No. 115)
Inequivalent atoms, fractional coordinates:
Ce 0.0000 0.5000 0.2348 [2 per cell]
In 0.0000 0.0000 0.5000 [1 per cell]
Ge 0.0000 0.0000 0.0000 [1 per cell]
Ge 0.0000 0.5000 0.6534 [2 per cell]
Ge 0.5000 0.5000 0.0000 [1 per cell]
Rh 0.0000 0.5000 0.8807 [2 per cell]
Rh 0.5000 0.5000 0.5000 [1 per cell]

Peak list (10 most intense, 2θ from 5° to 70°, in order of falling intensity)
two_theta  I_rel  h k l
34.22  100  1 1 2
42.39  60  2 0 0
32.93  52  1 0 3
54.70  24  2 1 3
47.94  22  1 0 5
61.50  20  2 2 0
45.59  18  1 1 4
65.90  17  2 1 5
29.62  11  1 1 0
60.79  11  1 1 6



12.
This entry pairs a crystal structure of Ce6GeIr3 with its theoretical X-ray powder pattern. Radiation: CuKα. Structure: a structure optimized by DFT (PBE).
Lines closer than 0.1° are merged.

Cell lengths 11.3926, 4.1205, 11.8669 Å; angles 90.00, 107.12, 90.00 degrees
Space group P2_1/m (No. 11)
Inequivalent atoms, fractional coordinates:
Ce 0.0255 0.2500 0.3888 [2 per cell]
Ce 0.1080 0.2500 0.9431 [2 per cell]
Ce 0.2318 0.7500 0.2638 [2 per cell]
Ce 0.2973 0.7500 0.7589 [2 per cell]
Ce 0.3734 0.2500 0.5386 [2 per cell]
Ce 0.4130 0.7500 0.0982 [2 per cell]
Ge 0.4502 0.2500 0.3056 [2 per cell]
Ir 0.0552 0.2500 0.1639 [2 per cell]
Ir 0.1855 0.7500 0.4944 [2 per cell]
Ir 0.3479 0.2500 0.9216 [2 per cell]

Peak list (10 most intense, 2θ from 5° to 70°, in order of falling intensity)
two_theta  I_rel  h k l
29.62  100  2 1 1
30.98  87  2 0 -4
32.89  86  3 1 0
43.95  83  0 2 0
41.03  82  4 1 -3
25.17  73  1 1 1
39.71  63  4 1 0
32.03  51  4 0 -2
15.85  49  2 0 -1
41.46  45  1 1 4